Starting from the PBE geometry in OQMD, the powder diffraction line list of Pr4CBr4Cl was simulated for Cu Kα (λ = 1.5418 Å).
Peak positions follow from Bragg's law for the DFT cell and can differ from measured ones.

Crystal structure
Cell: 9.492 9.492 8.260 Å, 103.67 103.67 24.10°
Fractional positions:
Pr 0.001 0.001 0.286
Pr 0.358 0.358 0.418
Pr 0.642 0.642 0.582
Pr 0.999 0.999 0.714
C 0.500 0.500 0.500
Br 0.164 0.164 0.859
Br 0.170 0.170 0.327
Br 0.830 0.830 0.673
Br 0.836 0.836 0.141
Cl 0.500 0.500 0.000

Main lines, low angle first (5° ≤ 2θ ≤ 70°):
2θ (°), intensity
11.0, 46
29.8, 48
30.6, 20
31.3, 100
33.6, 23
43.4, 28
43.9, 15
44.0, 31
45.8, 20
55.6, 16